Record 1
The following is a computed XRD peak list of Hg3HCl. It was derived from DFT lattice parameters and positions (GGA-PBE), using Cu Kα, 1.54184 Å.

Structure:
```
10
Lattice="9.5769 -1.8931 0.0000 9.5769 1.8931 0.0000 -2.1560 0.0000 6.5920" Properties=species:S:1:pos:R:3 pbc="T T T"
Hg 0.1080 0.0000 1.4740
Hg 3.5270 0.0000 2.1913
Hg 6.2324 0.0000 0.0968
Hg 10.7653 0.0000 6.4952
Hg 13.4707 0.0000 4.4007
Hg 16.8898 0.0000 5.1180
H 7.2317 0.0000 5.1742
H 9.7660 0.0000 1.4179
Cl 0.5926 0.0000 4.2806
Cl 16.4052 0.0000 2.3114
```

The 8 most intense peaks (5 to 70 degrees two-theta), sorted by position:
| 2θ/deg | d/Å | Rel. int. |
| --- | --- | --- |
| 9.7 | 9.102 | 20 |
| 27.8 | 3.212 | 23 |
| 28.3 | 3.151 | 100 |
| 33.0 | 2.717 | 30 |
| 35.3 | 2.544 | 33 |
| 38.8 | 2.322 | 24 |
| 39.7 | 2.270 | 27 |
| 56.7 | 1.623 | 20 |

=====

Record 2
The following is a computed XRD peak list of Hg2H3Cl6. It was derived from DFT lattice parameters and positions (GGA-PBE), using Cu Kα, 1.54184 Å.

Structure:
```
22
Lattice="6.5879 0.0000 0.0000 -3.0461 7.9110 0.0000 -1.1067 -3.9176 12.7929" Properties=species:S:1:pos:R:3 pbc="T T T"
Hg -0.3386 0.6720 6.2662
Hg -0.3740 4.0845 0.5983
Hg 2.8092 -0.0911 12.1946
Hg 2.7737 3.3215 6.5268
H -2.0563 1.7867 9.3727
H 1.3560 -0.1882 2.6453
H 0.9560 -1.2257 9.1063
H 1.4791 5.2192 3.6867
H 1.0792 4.1816 10.1476
H 4.4915 2.2068 3.4202
Cl -1.9246 3.5730 5.1885
Cl -2.1985 2.6633 10.3296
Cl -1.7358 7.2849 1.4250
Cl 1.1070 -1.7192 7.8839
Cl 1.4434 0.9461 4.7932
Cl 0.7370 -0.3129 10.9746
Cl 1.6982 4.3063 1.8184
Cl 0.9917 3.0474 7.9998
Cl 1.3282 5.7127 4.9091
Cl 4.1710 -3.2914 11.3679
Cl 4.6337 1.3302 2.4634
Cl 4.3598 0.4204 7.6044
```

The 8 most intense peaks (5 to 70 degrees two-theta), sorted by position:
| 2θ/deg | d/Å | Rel. int. |
| --- | --- | --- |
| 11.7 | 7.564 | 100 |
| 13.8 | 6.396 | 98 |
| 15.3 | 5.793 | 58 |
| 16.6 | 5.343 | 39 |
| 22.1 | 4.018 | 26 |
| 22.5 | 3.955 | 30 |
| 26.5 | 3.365 | 30 |
| 40.9 | 2.209 | 27 |

=====

Record 3
The following is a computed XRD peak list of Hg3H2Cl8. It was derived from DFT lattice parameters and positions (GGA-PBE), using Cu Kα, 1.54184 Å.

Structure:
```
26
Lattice="7.0177 -3.9488 0.0000 7.0177 3.9488 0.0000 -6.1097 0.0000 19.6011" Properties=species:S:1:pos:R:3 pbc="T T T"
Hg 2.4354 3.9365 14.7009
Hg 2.8442 1.6104 1.8150
Hg -0.2106 -1.6104 11.6156
Hg 8.1362 1.6104 7.9856
Hg 5.0814 -1.6104 17.7862
Hg 5.4902 -3.9365 4.9003
H -1.5169 0.9978 13.0085
H 1.5379 -0.9978 3.2079
H 6.3877 0.9978 16.3933
H 9.4425 -0.9978 6.5927
Cl 3.5752 2.4813 7.0202
Cl 0.1336 0.2009 6.5075
Cl -2.9213 -0.2009 16.3081
Cl -1.0115 0.9964 19.4539
Cl 7.4053 2.4813 2.7804
Cl 3.4101 0.1304 3.5168
Cl 0.3552 -0.1304 13.3174
Cl 2.0434 -0.9964 9.6534
Cl 5.8822 0.9964 9.9478
Cl 7.5704 0.1304 6.2838
Cl 4.5156 -0.1304 16.0843
Cl 0.5203 -2.4813 16.8207
Cl 8.9371 -0.9964 0.1472
Cl 10.8469 0.2009 3.2931
Cl 7.7920 -0.2009 13.0936
Cl 4.3504 -2.4813 12.5810
```

The 8 most intense peaks (5 to 70 degrees two-theta), sorted by position:
| 2θ/deg | d/Å | Rel. int. |
| --- | --- | --- |
| 13.0 | 6.804 | 32 |
| 13.1 | 6.751 | 100 |
| 13.6 | 6.506 | 37 |
| 14.4 | 6.146 | 54 |
| 16.9 | 5.231 | 54 |
| 19.0 | 4.673 | 55 |
| 24.3 | 3.663 | 30 |
| 24.4 | 3.641 | 51 |

=====

Record 4
The following is a computed XRD peak list of HgHCl2. It was derived from DFT lattice parameters and positions (GGA-PBE), using Cu Kα, 1.54184 Å.

Structure:
```
4
Lattice="3.6899 -2.6185 0.0000 3.6899 2.6185 0.0000 -3.5564 0.0000 6.2743" Properties=species:S:1:pos:R:3 pbc="T T T"
Hg 0.0000 0.0000 0.0000
H 4.6555 0.0000 2.1174
Cl 3.6745 0.0000 0.0737
Cl 5.4938 0.0000 3.1218
```

The 8 most intense peaks (5 to 70 degrees two-theta), sorted by position:
| 2θ/deg | d/Å | Rel. int. |
| --- | --- | --- |
| 14.1 | 6.274 | 100 |
| 21.9 | 4.058 | 76 |
| 24.1 | 3.689 | 30 |
| 27.8 | 3.210 | 40 |
| 28.3 | 3.151 | 39 |
| 28.5 | 3.137 | 38 |
| 30.1 | 2.970 | 36 |
| 45.1 | 2.012 | 42 |